Record 1
# K2GaBr3
Theoretical X-ray powder pattern, Cu Kα (λ = 1.5418 Å). Input: a GGA-PBE-relaxed structure.

Top 8 peaks for 2θ from 5° to 70°, in order of falling intensity:
| 2theta | d_spacing | I/Imax |
| --- | --- | --- |
| 27.1 | 3.291 | 100 |
| 38.6 | 2.335 | 89 |
| 26.9 | 3.316 | 47 |
| 63.1 | 1.474 | 24 |
| 47.7 | 1.908 | 19 |
| 38.8 | 2.322 | 18 |
| 47.8 | 1.902 | 18 |
| 23.3 | 3.810 | 13 |

Cell and atoms:
abc: 4.6655 13.9315 6.6315
angles: 90.00 90.00 90.00
Space group Pmmn (No. 59, origin choice 2)
Asymmetric unit:
K: 0.2500 0.0825 0.2484 [4 per cell]
Ga: 0.2500 0.7500 0.2380 [2 per cell]
Br: 0.2500 0.0897 0.7486 [4 per cell]
Br: 0.2500 0.7500 0.7987 [2 per cell]



Record 2
# LiLaB2
Theoretical X-ray powder pattern, Cu Kα (λ = 1.5418 Å). Input: a GGA-PBE-relaxed structure.

Top 8 peaks for 2θ from 5° to 70°, in order of falling intensity:
| 2theta | d_spacing | I/Imax |
| --- | --- | --- |
| 23.4 | 3.809 | 100 |
| 34.3 | 2.612 | 70 |
| 28.7 | 3.110 | 58 |
| 52.4 | 1.747 | 42 |
| 37.3 | 2.409 | 28 |
| 48.5 | 1.876 | 26 |
| 47.7 | 1.905 | 19 |
| 68.6 | 1.368 | 18 |

Cell and atoms:
abc: 3.9318 3.9318 15.2442
angles: 90.00 90.00 90.00
Space group I4_1/amd (No. 141, origin choice 2)
Asymmetric unit:
Li: 0.0000 0.2500 0.3750 [4 per cell]
La: 0.0000 0.2500 0.8750 [4 per cell]
B: 0.0000 0.0000 0.5000 [8 per cell]



Record 3
# Dy5Si2Sn2
Theoretical X-ray powder pattern, Cu Kα (λ = 1.5418 Å). Input: a GGA-PBE-relaxed structure.

Top 8 peaks for 2θ from 5° to 70°, in order of falling intensity:
| 2theta | d_spacing | I/Imax |
| --- | --- | --- |
| 32.9 | 2.726 | 100 |
| 34.8 | 2.575 | 44 |
| 32.4 | 2.762 | 44 |
| 33.6 | 2.667 | 38 |
| 31.1 | 2.875 | 36 |
| 25.5 | 3.497 | 35 |
| 36.8 | 2.441 | 30 |
| 36.9 | 2.435 | 30 |

Cell and atoms:
abc: 15.2264 7.8246 7.7973
angles: 90.00 90.00 90.00
Space group Cmce (No. 64)
Asymmetric unit:
Dy: 0.0000 0.0000 0.0000 [4 per cell]
Dy: 0.1281 0.1764 0.3249 [16 per cell]
Si: 0.0000 0.1200 0.6209 [8 per cell]
Sn: 0.2125 0.0000 0.0000 [8 per cell]



Repeat the third record exactly.
# Dy5Si2Sn2
Theoretical X-ray powder pattern, Cu Kα (λ = 1.5418 Å). Input: a GGA-PBE-relaxed structure.

Top 8 peaks for 2θ from 5° to 70°, in order of falling intensity:
| 2theta | d_spacing | I/Imax |
| --- | --- | --- |
| 32.9 | 2.726 | 100 |
| 34.8 | 2.575 | 44 |
| 32.4 | 2.762 | 44 |
| 33.6 | 2.667 | 38 |
| 31.1 | 2.875 | 36 |
| 25.5 | 3.497 | 35 |
| 36.8 | 2.441 | 30 |
| 36.9 | 2.435 | 30 |

Cell and atoms:
abc: 15.2264 7.8246 7.7973
angles: 90.00 90.00 90.00
Space group Cmce (No. 64)
Asymmetric unit:
Dy: 0.0000 0.0000 0.0000 [4 per cell]
Dy: 0.1281 0.1764 0.3249 [16 per cell]
Si: 0.0000 0.1200 0.6209 [8 per cell]
Sn: 0.2125 0.0000 0.0000 [8 per cell]



Repeat the second record exactly.
# LiLaB2
Theoretical X-ray powder pattern, Cu Kα (λ = 1.5418 Å). Input: a GGA-PBE-relaxed structure.

Top 8 peaks for 2θ from 5° to 70°, in order of falling intensity:
| 2theta | d_spacing | I/Imax |
| --- | --- | --- |
| 23.4 | 3.809 | 100 |
| 34.3 | 2.612 | 70 |
| 28.7 | 3.110 | 58 |
| 52.4 | 1.747 | 42 |
| 37.3 | 2.409 | 28 |
| 48.5 | 1.876 | 26 |
| 47.7 | 1.905 | 19 |
| 68.6 | 1.368 | 18 |

Cell and atoms:
abc: 3.9318 3.9318 15.2442
angles: 90.00 90.00 90.00
Space group I4_1/amd (No. 141, origin choice 2)
Asymmetric unit:
Li: 0.0000 0.2500 0.3750 [4 per cell]
La: 0.0000 0.2500 0.8750 [4 per cell]
B: 0.0000 0.0000 0.5000 [8 per cell]